(1)
This entry pairs a crystal structure of MgMnCo3O8 with its calculated X-ray diffraction stick pattern. Radiation: Cu Ka. Structure: a structure optimized by DFT (GGA+U).
No peak broadening, texture or thermal motion is included.

Main lines, by intensity (10 to 80 degrees two-theta):
(0 0 1), 4.817 Å, 18.4 deg, rel. 100; (0 2 0), 2.127 Å, 42.5 deg, rel. 25; (1 -1 0), 4.774 Å, 18.6 deg, rel. 24; (2 0 -2), 2.110 Å, 42.9 deg, rel. 24; (1 0 -2), 2.542 Å, 35.3 deg, rel. 24; (2 -2 2), 2.012 Å, 45.1 deg, rel. 21

Crystal structure
a b c (Å): 5.798 5.844 5.864
angles (deg): 118.58 92.73 117.89
Space group P1 (No. 1)
Inequivalent atoms, fractional coordinates:
Mg  0.000  0.000  0.000
Mn  0.874  0.262  0.630
Co  0.373  0.762  0.626
Co  0.383  0.262  0.632
Co  0.387  0.762  0.139
O  0.130  0.280  0.417
O  0.130  0.722  0.866
O  0.147  0.279  0.863
O  0.177  0.825  0.415
O  0.588  0.717  0.854
O  0.608  0.248  0.410
O  0.626  0.247  0.836
O  0.636  0.813  0.404

(2)
This entry pairs a crystal structure of Ca4Ni5Te3O18 with its calculated X-ray diffraction stick pattern. Radiation: Cu Ka. Structure: a structure optimized by DFT (GGA+U).
No peak broadening, texture or thermal motion is included.

Main lines, by intensity (10 to 80 degrees two-theta):
(3 1 0), 4.566 Å, 19.4 deg, rel. 100; (1 3 -2), 2.569 Å, 34.9 deg, rel. 65; (5 3 2), 1.980 Å, 45.8 deg, rel. 63; (2 2 2), 3.083 Å, 29.0 deg, rel. 62; (2 0 2), 4.261 Å, 20.8 deg, rel. 51; (7 3 -2), 1.737 Å, 52.7 deg, rel. 45

Crystal structure
a b c (Å): 15.966 8.935 10.514
angles (deg): 90.00 93.60 90.00
Space group C2/c (No. 15)
Inequivalent atoms, fractional coordinates:
Ca  0.003  0.159  0.082
Ca  0.181  0.358  0.908
Ni  0.000  0.329  0.750
Ni  0.157  0.338  0.268
Ni  0.171  0.192  0.561
Te  0.000  0.500  0.000
Te  0.171  0.010  0.816
O  0.046  0.320  0.932
O  0.065  0.481  0.164
O  0.094  0.370  0.440
O  0.095  0.140  0.241
O  0.105  0.003  0.967
O  0.110  0.180  0.732
O  0.229  0.172  0.386
O  0.240  0.028  0.669
O  0.243  0.354  0.108

(3)
This entry pairs a crystal structure of Rb2VF6 with its calculated X-ray diffraction stick pattern. Radiation: Cu Ka. Structure: a structure optimized by DFT (GGA+U).
No peak broadening, texture or thermal motion is included.

Main lines, by intensity (10 to 80 degrees two-theta):
(2 2 0), 3.068 Å, 29.1 deg, rel. 100; (2 2 2), 2.505 Å, 35.8 deg, rel. 56; (4 0 0), 2.170 Å, 41.6 deg, rel. 54; (1 1 1), 5.011 Å, 17.7 deg, rel. 38; (4 2 2), 1.772 Å, 51.6 deg, rel. 35; (4 4 0), 1.534 Å, 60.3 deg, rel. 30

Crystal structure
a b c (Å): 8.679 8.679 8.679
angles (deg): 90.00 90.00 90.00
Space group Fm-3m (No. 225)
Inequivalent atoms, fractional coordinates:
Rb  0.250  0.250  0.250
V  0.000  0.000  0.000
F  0.000  0.000  0.217

(4)
This entry pairs a crystal structure of Ba2Nd2Fe4O11 with its calculated X-ray diffraction stick pattern. Radiation: Cu Ka. Structure: a structure optimized by DFT (GGA+U).
No peak broadening, texture or thermal motion is included.

Main lines, by intensity (10 to 80 degrees two-theta):
(2 4 0), 2.829 Å, 31.6 deg, rel. 100; (0 4 1), 2.800 Å, 32.0 deg, rel. 53; (2 8 1), 1.622 Å, 56.8 deg, rel. 41; (0 0 2), 1.980 Å, 45.8 deg, rel. 29; (2 4 1), 2.302 Å, 39.1 deg, rel. 24; (4 4 1), 1.639 Å, 56.1 deg, rel. 19

Crystal structure
a b c (Å): 8.086 15.833 3.962
angles (deg): 90.00 90.00 90.00
Space group Cmmm (No. 65)
Inequivalent atoms, fractional coordinates:
Ba  0.250  0.250  0.000
Nd  0.232  0.000  0.000
Fe  0.000  0.123  0.500
Fe  0.000  0.374  0.500
O  0.000  0.000  0.500
O  0.000  0.118  0.000
O  0.000  0.252  0.500
O  0.000  0.409  0.000
O  0.240  0.396  0.500

(5)
This entry pairs a crystal structure of Na2NiPCO7 with its calculated X-ray diffraction stick pattern. Radiation: Cu Ka. Structure: a structure optimized by DFT (GGA+U).
No peak broadening, texture or thermal motion is included.

Main lines, by intensity (10 to 80 degrees two-theta):
(2 -2 0), 3.300 Å, 27.0 deg, rel. 100; (2 2 -2), 2.586 Å, 34.7 deg, rel. 65; (1 1 1), 3.430 Å, 26.0 deg, rel. 60; (1 -3 0), 2.668 Å, 33.6 deg, rel. 47; (2 0 -1), 4.071 Å, 21.8 deg, rel. 45; (-1 1 1), 5.287 Å, 16.8 deg, rel. 42

Crystal structure
a b c (Å): 8.370 8.403 10.178
angles (deg): 107.64 106.94 103.79
Space group P1 (No. 1)
Inequivalent atoms, fractional coordinates:
Na  0.000  0.000  0.000
Na  0.002  0.010  0.504
Na  0.235  0.746  0.994
Na  0.256  0.749  0.501
Na  0.457  0.192  0.164
Na  0.506  0.522  0.520
Na  0.534  0.496  0.992
Na  0.776  0.257  0.521
Ni  0.062  0.317  0.907
Ni  0.450  0.199  0.606
Ni  0.564  0.821  0.905
Ni  0.947  0.699  0.604
P  0.204  0.452  0.679
P  0.309  0.061  0.832
P  0.703  0.955  0.679
P  0.819  0.571  0.835
C  0.242  0.486  0.183
C  0.285  0.034  0.326
C  0.734  0.988  0.183
C  0.775  0.529  0.331
O  0.070  0.317  0.710
O  0.099  0.345  0.125
O  0.100  0.537  0.585
O  0.164  0.919  0.679
O  0.208  0.959  0.183
O  0.229  0.166  0.933
O  0.230  0.979  0.417
O  0.288  0.349  0.582
O  0.288  0.530  0.083
O  0.330  0.571  0.322
O  0.349  0.596  0.831
O  0.408  0.975  0.927
O  0.430  0.178  0.391
O  0.437  0.195  0.797
O  0.566  0.822  0.709
O  0.588  0.846  0.121
O  0.601  0.040  0.584
O  0.674  0.423  0.685
O  0.683  0.447  0.193
O  0.731  0.479  0.430
O  0.735  0.677  0.929
O  0.781  0.036  0.086
O  0.781  0.846  0.579
O  0.817  0.071  0.323
O  0.850  0.096  0.829
O  0.921  0.670  0.392
O  0.937  0.499  0.930
O  0.948  0.707  0.799

(6)
This entry pairs a crystal structure of V2CuH3O7 with its calculated X-ray diffraction stick pattern. Radiation: Cu Ka. Structure: a structure optimized by DFT (GGA+U).
No peak broadening, texture or thermal motion is included.

Main lines, by intensity (10 to 80 degrees two-theta):
(1 -1 0), 4.128 Å, 21.5 deg, rel. 100; (1 0 -1), 4.932 Å, 18.0 deg, rel. 100; (1 1 1), 2.832 Å, 31.6 deg, rel. 95; (1 0 -3), 3.126 Å, 28.6 deg, rel. 89; (1 -1 2), 3.160 Å, 28.2 deg, rel. 66; (0 0 3), 3.348 Å, 26.6 deg, rel. 61

Crystal structure
a b c (Å): 5.234 5.384 10.458
angles (deg): 99.45 100.65 102.16
Space group P-1 (No. 2)
Inequivalent atoms, fractional coordinates:
V  0.139  0.166  0.218
V  0.318  0.425  0.830
Cu  0.000  0.000  0.500
Cu  0.500  0.000  0.000
H  0.183  0.604  0.433
H  0.214  0.655  0.087
H  0.401  0.783  0.557
O  0.002  0.571  0.795
O  0.080  0.123  0.875
O  0.206  0.726  0.517
O  0.222  0.149  0.383
O  0.341  0.285  0.682
O  0.371  0.661  0.047
O  0.439  0.215  0.155